Structure and computed powder X-ray diffraction pattern of CeSiIr (DFT lattice parameters and positions (PBE); Cu Kα (weighted mean of Kα1 and Kα2)).
Neutral-atom scattering factors, no anomalous dispersion.

Cell: 6.3341 6.3341 6.3341 Å, 90.00 90.00 90.00°
Sites, in units of the cell vectors:
Ce (0.1234, 0.1234, 0.1234)
Ce (0.3766, 0.8766, 0.6234)
Ce (0.6234, 0.3766, 0.8766)
Ce (0.8766, 0.6234, 0.3766)
Si (0.0837, 0.5837, 0.9163)
Si (0.4163, 0.4163, 0.4163)
Si (0.5837, 0.9163, 0.0837)
Si (0.9163, 0.0837, 0.5837)
Ir (0.1879, 0.3121, 0.6879)
Ir (0.3121, 0.6879, 0.1879)
Ir (0.6879, 0.1879, 0.3121)
Ir (0.8121, 0.8121, 0.8121)

Peak list (6 most intense, 2θ from 10° to 90°, in order of falling intensity)
- d 2.833, 2θ 31.58, rel. 100, hkl 2 1 0
- d 2.586, 2θ 34.69, rel. 58, hkl 2 1 1
- d 1.693, 2θ 54.18, rel. 48, hkl 3 1 2
- d 3.657, 2θ 24.34, rel. 30, hkl 1 1 1
- d 1.910, 2θ 47.61, rel. 26, hkl 3 1 1
- d 1.176, 2θ 81.90, rel. 22, hkl 5 2 0